Theoretical X-ray diffraction stick pattern of Th3Zn9Ag2 for Cu Ka, from a GGA-PBE-relaxed structure.
No peak broadening, texture or thermal motion is included.

Principal peaks in the range 10 to 90 degrees two-theta, most intense first:
| 2θ/deg | I_rel |
| --- | --- |
| 34.66 | 100 |
| 40.21 | 69 |
| 36.13 | 62 |
| 34.82 | 49 |
| 22.16 | 44 |
| 55.17 | 33 |
| 38.61 | 28 |
| 69.54 | 26 |
| 33.32 | 25 |
| 67.54 | 21 |
| 58.19 | 17 |
| 28.14 | 17 |

Structure:
```
14
Lattice="-2.2437 4.4800 6.7235 2.2437 -4.4800 6.7235 2.2437 4.4800 -6.7235" Properties=species:S:1:pos:R:3 pbc="T T T"
Th 0.0000 0.0000 0.0000
Th 0.0000 0.0000 3.9409
Th 0.0000 0.0000 9.5060
Zn 2.2437 -1.2478 2.1246
Zn 2.2437 -1.9680 4.8304
Zn 2.2437 1.2478 2.1246
Zn 0.0000 2.5121 1.8930
Zn 0.0000 4.4800 0.0000
Zn 2.2437 1.9680 4.8304
Zn 0.0000 3.2322 4.5988
Zn 0.0000 6.4480 1.8930
Zn 0.0000 5.7278 4.5988
Ag 2.2437 2.8557 0.0000
Ag 0.0000 1.6243 6.7235
```


Theoretical X-ray diffraction stick pattern of Cu7Ag3 for Cu Ka, from a GGA-PBE-relaxed structure.
No peak broadening, texture or thermal motion is included.

Principal peaks in the range 10 to 90 degrees two-theta, most intense first:
| 2θ/deg | I_rel |
| --- | --- |
| 41.24 | 100 |
| 41.05 | 34 |
| 47.63 | 22 |
| 47.94 | 21 |
| 48.24 | 21 |
| 70.28 | 12 |
| 70.04 | 12 |
| 85.22 | 11 |
| 84.47 | 7 |
| 84.92 | 7 |
| 84.26 | 7 |
| 69.70 | 6 |

Structure:
```
10
Lattice="4.6413 0.0000 0.0000 -1.5480 5.1701 0.0000 -0.7524 -1.6036 5.6965" Properties=species:S:1:pos:R:3 pbc="T T T"
Cu 0.0000 0.0000 0.0000
Cu -1.5183 1.0478 5.6918
Cu -0.7485 4.0403 2.3346
Cu 0.0153 2.8960 4.6005
Cu 2.2997 0.7011 1.2009
Cu 3.0769 -0.4564 3.5130
Cu 2.3551 2.2138 3.5503
Ag -0.0597 1.4343 2.2825
Ag 0.7949 0.2590 4.6186
Ag 1.6011 3.3756 1.2309
```


Theoretical X-ray diffraction stick pattern of RbLuAl for Cu Ka, from a GGA-PBE-relaxed structure.
No peak broadening, texture or thermal motion is included.

Principal peaks in the range 10 to 90 degrees two-theta, most intense first:
| 2θ/deg | I_rel |
| --- | --- |
| 32.86 | 100 |
| 23.08 | 80 |
| 58.68 | 38 |
| 53.14 | 34 |
| 40.54 | 25 |
| 19.95 | 22 |
| 47.16 | 18 |
| 78.47 | 16 |
| 73.75 | 16 |
| 38.74 | 13 |
| 68.91 | 12 |
| 83.12 | 9 |

Structure:
```
12
Lattice="7.7082 0.0000 0.0000 0.0000 7.7082 0.0000 0.0000 0.0000 7.7082" Properties=species:S:1:pos:R:3 pbc="T T T"
Rb 0.0000 0.0000 0.0000
Rb 0.0000 3.8541 3.8541
Rb 3.8541 0.0000 3.8541
Rb 3.8541 3.8541 0.0000
Lu 0.0000 0.0000 3.8541
Lu 0.0000 3.8541 0.0000
Lu 3.8541 0.0000 0.0000
Lu 3.8541 3.8541 3.8541
Al 1.9271 1.9271 5.7812
Al 1.9271 5.7812 1.9271
Al 5.7812 1.9271 1.9271
Al 5.7812 5.7812 5.7812
```